Record 1
The following is a calculated PXRD pattern of NpTl3Br6. It was derived from a DFT-relaxed cell (PBE, Alexandria), using Cu Kα (λ = 1.5418 Å).
Lines closer than 0.1° are merged.

abc: 9.690 11.928 14.899
angles: 90.00 90.00 90.00
Space group Fmmm (No. 69)
Symmetry-distinct sites (fractional):
Np (0.000, 0.000, 0.000) [4 per cell]
Tl (0.000, 0.000, 0.500) [4 per cell]
Tl (0.250, 0.250, 0.250) [8 per cell]
Br (0.000, 0.237, 0.000) [8 per cell]
Br (0.218, 0.000, 0.133) [16 per cell]

Principal peaks in the range 5° ≤ 2θ ≤ 70°, sorted by position:
2θ 19.1, I = 51
2θ 21.9, I = 100
2θ 30.0, I = 38
2θ 33.9, I = 61
2θ 37.1, I = 19
2θ 37.4, I = 50

Record 2
The following is a calculated PXRD pattern of NbCuB3. It was derived from a DFT-relaxed cell (PBE, Alexandria), using Cu Kα (λ = 1.5418 Å).
Lines closer than 0.1° are merged.

abc: 3.791 3.791 3.791
angles: 90.00 90.00 90.00
Space group Pm-3m (No. 221)
Symmetry-distinct sites (fractional):
Nb (0.000, 0.000, 0.000) [1 per cell]
Cu (0.500, 0.500, 0.500) [1 per cell]
B (0.000, 0.500, 0.500) [3 per cell]

Principal peaks in the range 5° ≤ 2θ ≤ 70°, sorted by position:
2θ 23.5, I = 2
2θ 33.4, I = 100
2θ 41.2, I = 4
2θ 48.0, I = 25
2θ 54.1, I = 1
2θ 59.7, I = 36

Record 3
The following is a calculated PXRD pattern of Tb4Nd5Ho3. It was derived from a DFT-relaxed cell (PBE, Alexandria), using Cu Kα (λ = 1.5418 Å).
Lines closer than 0.1° are merged.

abc: 11.485 5.490 13.281
angles: 90.00 105.20 90.00
Space group C2/m (No. 12)
Symmetry-distinct sites (fractional):
Tb (0.090, 0.000, 0.130) [4 per cell]
Tb (0.231, 0.000, 0.395) [4 per cell]
Nd (0.000, 0.500, 0.500) [2 per cell]
Nd (0.139, 0.500, 0.965) [4 per cell]
Nd (0.171, 0.000, 0.764) [4 per cell]
Ho (0.000, 0.000, 0.500) [2 per cell]
Ho (0.045, 0.500, 0.283) [4 per cell]

Principal peaks in the range 5° ≤ 2θ ≤ 70°, sorted by position:
2θ 29.2, I = 97
2θ 29.4, I = 100
2θ 32.6, I = 61
2θ 34.5, I = 41
2θ 34.9, I = 40
2θ 48.2, I = 32

Record 4
The following is a calculated PXRD pattern of PuPaInAu. It was derived from a DFT-relaxed cell (PBE, Alexandria), using Cu Kα (λ = 1.5418 Å).
Lines closer than 0.1° are merged.

abc: 7.395 7.395 7.395
angles: 90.00 90.00 90.00
Space group F-43m (No. 216)
Symmetry-distinct sites (fractional):
Pu (0.000, 0.000, 0.000) [4 per cell]
Pa (0.000, 0.000, 0.500) [4 per cell]
In (0.250, 0.250, 0.750) [4 per cell]
Au (0.250, 0.250, 0.250) [4 per cell]

Principal peaks in the range 5° ≤ 2θ ≤ 70°, sorted by position:
2θ 20.8, I = 2
2θ 24.1, I = 4
2θ 34.3, I = 100
2θ 49.3, I = 18
2θ 55.6, I = 2
2θ 61.4, I = 38

Please write out number 3 again, unchanged.
The following is a calculated PXRD pattern of Tb4Nd5Ho3. It was derived from a DFT-relaxed cell (PBE, Alexandria), using Cu Kα (λ = 1.5418 Å).
Lines closer than 0.1° are merged.

abc: 11.485 5.490 13.281
angles: 90.00 105.20 90.00
Space group C2/m (No. 12)
Symmetry-distinct sites (fractional):
Tb (0.090, 0.000, 0.130) [4 per cell]
Tb (0.231, 0.000, 0.395) [4 per cell]
Nd (0.000, 0.500, 0.500) [2 per cell]
Nd (0.139, 0.500, 0.965) [4 per cell]
Nd (0.171, 0.000, 0.764) [4 per cell]
Ho (0.000, 0.000, 0.500) [2 per cell]
Ho (0.045, 0.500, 0.283) [4 per cell]

Principal peaks in the range 5° ≤ 2θ ≤ 70°, sorted by position:
2θ 29.2, I = 97
2θ 29.4, I = 100
2θ 32.6, I = 61
2θ 34.5, I = 41
2θ 34.9, I = 40
2θ 48.2, I = 32

Question: Which formula does entry 2 have?
Answer: NbCuB3